Starting from DFT lattice parameters and positions (GGA-PBE), the powder diffraction line list of Th4CoSn2 was computed for Cu Kα (λ = 1.5418 Å).

The 10 most intense peaks (10° ≤ 2θ ≤ 80°), in order of rising 2θ:
- (1 1 1), 3.850 Å, intensity 17
- (1 0 -3), 3.071 Å, intensity 100
- (1 2 -1), 2.891 Å, intensity 68
- (1 1 -3), 2.791 Å, intensity 37
- (0 2 2), 2.728 Å, intensity 97
- (2 1 -2), 2.634 Å, intensity 23
- (1 0 3), 2.581 Å, intensity 55
- (2 2 -2), 2.177 Å, intensity 17
- (2 2 2), 1.925 Å, intensity 42
- (3 2 -1), 1.776 Å, intensity 23

Structural model:
```
Th4CoSn2
1.0
6.291 0.000 0.000
0.000 6.695 0.000
-2.033 0.000 9.404
Th Co Sn
8 2 4
Cartesian
1.017 1.674 0.867 Th
0.074 3.459 6.964 Th
0.074 6.583 6.964 Th
0.987 5.021 3.730 Th
3.272 1.674 5.675 Th
4.185 0.112 2.441 Th
4.185 3.236 2.441 Th
3.242 5.021 8.537 Th
-0.338 5.021 1.583 Co
4.596 1.674 7.821 Co
0.357 1.674 4.111 Sn
2.059 5.021 0.518 Sn
2.200 1.674 8.886 Sn
3.902 5.021 5.293 Sn
```